Diffraction record for Y6Sc7. The powder diffractogram is simulated, not measured: it uses a structure optimized by DFT (GGA-PBE) and Cu Kα, 1.54184 Å.
No peak broadening, texture or thermal motion is included.

Cell: 11.807 11.807 11.807 Å, 30.95 30.95 30.95°
Atoms (fractional coordinates):
Y1 0.047 0.047 0.047
Y2 0.150 0.150 0.150
Y3 0.333 0.333 0.333
Y4 0.667 0.667 0.667
Y5 0.850 0.850 0.850
Y6 0.953 0.953 0.953
Sc1 0.089 0.590 0.590
Sc2 0.410 0.410 0.911
Sc3 0.410 0.911 0.410
Sc4 0.500 0.500 0.500
Sc5 0.590 0.089 0.590
Sc6 0.590 0.590 0.089
Sc7 0.911 0.410 0.410

Top 10 peaks for 2θ from 10° to 80°, by intensity:
2theta	Rel. int.
28.33	100.0
32.59	97.9
31.20	68.9
33.55	68.6
32.94	37.2
58.61	34.6
53.57	34.1
35.50	31.3
51.99	31.0
52.92	23.2

Diffraction record for Y4Sc. The powder diffractogram is simulated, not measured: it uses a structure optimized by DFT (GGA-PBE) and Cu Kα, 1.54184 Å.
No peak broadening, texture or thermal motion is included.

Cell: 3.522 3.522 14.390 Å, 96.94 96.94 60.05°
Atoms (fractional coordinates):
Y1 0.103 0.103 0.310
Y2 0.299 0.299 0.898
Y3 0.701 0.701 0.102
Y4 0.897 0.897 0.690
Sc1 0.500 0.500 0.500

Top 10 peaks for 2θ from 10° to 80°, by intensity:
2theta	Rel. int.
31.13	100.0
36.17	65.0
31.39	31.4
61.93	25.0
51.91	22.7
52.26	20.7
61.78	13.1
62.24	11.4
64.91	11.0
76.71	4.2

Diffraction record for Y3Sc5. The powder diffractogram is simulated, not measured: it uses a structure optimized by DFT (GGA-PBE) and Cu Kα, 1.54184 Å.
No peak broadening, texture or thermal motion is included.

Cell: 3.447 5.377 11.873 Å, 90.00 90.00 90.00°
Atoms (fractional coordinates):
Y1 0.000 0.000 0.000
Y2 0.000 0.500 0.180
Y3 0.500 0.000 0.274
Sc1 0.000 0.000 0.521
Sc2 0.000 0.500 0.680
Sc3 0.500 0.000 0.753
Sc4 0.500 0.500 0.442
Sc5 0.500 0.500 0.915

Top 10 peaks for 2θ from 10° to 80°, by intensity:
2theta	Rel. int.
34.40	100.0
34.52	46.4
33.33	36.7
60.27	26.3
29.97	24.3
45.46	21.9
64.41	16.9
53.39	15.7
64.92	14.1
30.11	12.1